Calculated XRD peak list
Compound: GaPb2Br5
Radiation: Cu Kα
Structure: a crystal structure in Alexandria, relaxed with PBE
Intensities are scaled so that the largest is 100.

Top 8 peaks for 2θ from 10° to 90°, in order of falling intensity:
hkl	2θ/deg	d [Å]	I (rel.)
0 1 1	12.92	6.851	100
2 3 -3	40.39	2.233	80
4 1 -1	34.91	2.570	78
2 2 2	33.72	2.658	76
0 1 5	33.45	2.679	60
0 1 3	21.89	4.061	47
1 1 -4	26.03	3.423	43
1 2 1	25.91	3.439	42

Crystal structure
Cell: 11.0655 7.8114 15.2321 Å, 90.00 110.58 90.00°
Sites, in units of the cell vectors:
Ga 0.0000 0.0000 0.0000
Ga 0.0000 0.5000 0.5000
Ga 0.5000 0.0000 0.0000
Ga 0.5000 0.5000 0.5000
Pb 0.0859 0.0049 0.3778
Pb 0.0859 0.4951 0.8778
Pb 0.4142 0.0052 0.6223
Pb 0.4142 0.4948 0.1223
Pb 0.5858 0.5052 0.8777
Pb 0.5858 0.9948 0.3777
Pb 0.9141 0.5049 0.1222
Pb 0.9141 0.9951 0.6222
Br 0.0421 0.1634 0.1940
Br 0.0421 0.3366 0.6940
Br 0.1464 0.6592 0.0855
Br 0.1464 0.8408 0.5855
Br 0.2500 0.2063 0.9999
Br 0.2500 0.2937 0.4999
Br 0.3536 0.6592 0.9147
Br 0.3536 0.8408 0.4147
Br 0.4571 0.1642 0.8058
Br 0.4571 0.3358 0.3058
Br 0.5429 0.6642 0.6942
Br 0.5429 0.8358 0.1942
Br 0.6464 0.1592 0.5853
Br 0.6464 0.3408 0.0853
Br 0.7500 0.7063 0.5001
Br 0.7500 0.7937 0.0001
Br 0.8536 0.1592 0.4145
Br 0.8536 0.3408 0.9145
Br 0.9579 0.6634 0.3060
Br 0.9579 0.8366 0.8060